(1)
Starting from a PBE-relaxed structure, the X-ray diffraction stick pattern of ZrScCoSi2 was computed for Cu Kα (λ = 1.5418 Å).
Kinematic intensities with the Lorentz-polarization factor, no thermal factor.

Peak list (12 most intense, 10° ≤ 2θ ≤ 90°, low angle first)
29.72 deg, I 48
35.91 deg, I 43
36.37 deg, I 100
36.51 deg, I 32
37.13 deg, I 30
38.30 deg, I 20
40.04 deg, I 34
43.82 deg, I 44
44.36 deg, I 49
46.44 deg, I 42
65.75 deg, I 25
71.18 deg, I 18

Structural model:
a = 5.3035 Å, b = 5.3035 Å, c = 9.4014 Å
α = 116.31°, β = 116.31°, γ = 43.27°
Fractional positions:
Zr 0.1853 0.1853 0.1007
Zr 0.8147 0.8147 0.8993
Sc 0.0009 0.0009 0.6724
Sc 0.9991 0.9991 0.3276
Co 0.2754 0.2754 0.6249
Co 0.7246 0.7246 0.3751
Si 0.3553 0.3553 0.4301
Si 0.4871 0.4871 0.1255
Si 0.5129 0.5129 0.8745
Si 0.6447 0.6447 0.5699

***

(2)
Starting from a PBE-relaxed structure, the X-ray diffraction stick pattern of Sc2Co2Tc was computed for Cu Kα (λ = 1.5418 Å).
Kinematic intensities with the Lorentz-polarization factor, no thermal factor.

Peak list (12 most intense, 10° ≤ 2θ ≤ 90°, low angle first)
16.25 deg, I 24
17.73 deg, I 27
24.44 deg, I 31
35.38 deg, I 100
37.77 deg, I 20
40.42 deg, I 47
42.65 deg, I 41
45.76 deg, I 28
46.45 deg, I 47
47.55 deg, I 18
52.33 deg, I 16
75.43 deg, I 17

Structural model:
a = 5.9668 Å, b = 5.9668 Å, c = 4.8910 Å
α = 90.03°, β = 90.03°, γ = 113.90°
Fractional positions:
Sc 0.0063 0.6767 0.7502
Sc 0.3233 0.9937 0.2498
Sc 0.6767 0.0063 0.7502
Sc 0.9937 0.3233 0.2498
Co 0.3868 0.6132 0.0000
Co 0.3868 0.6132 0.5000
Co 0.6132 0.3868 0.0000
Co 0.6132 0.3868 0.5000
Tc 0.2116 0.2116 0.7488
Tc 0.7884 0.7884 0.2512